Record 1
For TbSiAs, a structure optimized by DFT (PBE) gives the calculated powder X-ray diffraction pattern in this record (Cu Kα X-rays).
Intensities are scaled so that the largest is 100.

Main lines, most intense first (15 to 90 degrees two-theta):
2θ 36.3, intensity 100; 2θ 25.6, intensity 42; 2θ 22.7, intensity 25; 2θ 35.5, intensity 24; 2θ 33.1, intensity 17; 2θ 45.0, intensity 16; 2θ 47.2, intensity 14; 2θ 40.7, intensity 14; 2θ 27.6, intensity 14; 2θ 72.5, intensity 13

Structural model:
```
6
Lattice="2.015 -8.120 0.000 2.015 8.120 0.000 0.000 0.000 3.852" Properties=species:S:1:pos:R:3 pbc="T T T"
Tb 2.015 6.371 2.889
Tb 2.015 -6.371 0.963
Si 2.015 0.701 2.889
Si 2.015 -0.701 0.963
As 2.015 4.039 0.963
As 2.015 -4.039 2.889
```

Record 2
For Th4Si3As, a structure optimized by DFT (PBE) gives the calculated powder X-ray diffraction pattern in this record (Cu Kα X-rays).
Intensities are scaled so that the largest is 100.

Main lines, most intense first (15 to 90 degrees two-theta):
2θ 23.5, intensity 100; 2θ 33.4, intensity 89; 2θ 31.3, intensity 55; 2θ 35.6, intensity 52; 2θ 35.6, intensity 52; 2θ 46.4, intensity 38; 2θ 61.1, intensity 33; 2θ 48.0, intensity 33; 2θ 57.2, intensity 26; 2θ 54.1, intensity 23

Structural model:
```
8
Lattice="5.365 -5.364 0.000 5.365 5.364 0.000 -0.006 0.000 3.379" Properties=species:S:1:pos:R:3 pbc="T T T"
Th 0.000 0.000 0.000
Th 2.703 2.701 2.684
Th 2.703 -2.701 2.684
Th 5.415 0.000 0.002
Si 5.386 2.681 1.340
Si 5.386 -2.681 1.340
Si 8.071 0.000 1.348
As 2.705 0.000 1.338
```

Record 3
For Ti5Si2As2, a structure optimized by DFT (PBE) gives the calculated powder X-ray diffraction pattern in this record (Cu Kα X-rays).
Intensities are scaled so that the largest is 100.

Main lines, most intense first (15 to 90 degrees two-theta):
2θ 40.1, intensity 100; 2θ 38.1, intensity 90; 2θ 36.8, intensity 80; 2θ 41.3, intensity 76; 2θ 43.2, intensity 69; 2θ 43.6, intensity 67; 2θ 39.1, intensity 54; 2θ 38.9, intensity 52; 2θ 56.7, intensity 38; 2θ 56.3, intensity 32

Structural model:
```
18
Lattice="6.398 -3.357 0.000 6.398 3.357 0.000 0.000 0.000 6.641" Properties=species:S:1:pos:R:3 pbc="T T T"
Ti 0.000 0.000 0.000
Ti 4.686 2.252 4.423
Ti 4.686 1.105 1.103
Ti 8.110 2.252 4.423
Ti 8.110 1.105 1.103
Ti 6.398 0.000 3.320
Ti 4.686 -1.105 5.538
Ti 4.686 -2.252 2.218
Ti 8.110 -1.105 5.538
Ti 8.110 -2.252 2.218
Si 6.398 2.492 2.474
Si 6.398 0.866 5.794
Si 6.398 -0.866 0.847
Si 6.398 -2.492 4.167
As 2.607 0.000 0.000
As 3.791 0.000 3.320
As 9.005 0.000 3.320
As 10.189 0.000 0.000
```

Record 4
For V4SiAs, a structure optimized by DFT (PBE) gives the calculated powder X-ray diffraction pattern in this record (Cu Kα X-rays).
Intensities are scaled so that the largest is 100.

Main lines, most intense first (15 to 90 degrees two-theta):
2θ 44.4, intensity 100; 2θ 40.1, intensity 92; 2θ 44.5, intensity 33; 2θ 75.8, intensity 25; 2θ 58.0, intensity 15; 2θ 58.0, intensity 14; 2θ 75.9, intensity 12; 2θ 76.0, intensity 12; 2θ 84.7, intensity 9; 2θ 71.0, intensity 7

Structural model:
```
12
Lattice="4.574 0.000 0.000 -2.204 5.968 0.000 -1.251 -2.177 5.906" Properties=species:S:1:pos:R:3 pbc="T T T"
V 0.556 1.045 0.506
V -0.579 2.328 2.461
V -0.529 4.042 0.493
V 0.559 -0.647 2.449
V 0.560 4.438 3.456
V 1.649 -0.251 5.412
V 1.699 1.464 3.444
V 0.564 2.747 5.400
Si -1.712 3.596 4.464
Si 2.831 0.195 1.442
As -0.621 0.597 4.407
As 1.741 3.195 1.498
```

Record 5
For YSi2As, a structure optimized by DFT (PBE) gives the calculated powder X-ray diffraction pattern in this record (Cu Kα X-rays).
Intensities are scaled so that the largest is 100.

Main lines, most intense first (15 to 90 degrees two-theta):
2θ 35.3, intensity 100; 2θ 38.4, intensity 87; 2θ 18.9, intensity 64; 2θ 38.2, intensity 42; 2θ 31.4, intensity 40; 2θ 40.1, intensity 32; 2θ 49.4, intensity 21; 2θ 64.2, intensity 18; 2θ 47.9, intensity 16; 2θ 74.7, intensity 15

Structural model:
```
4
Lattice="4.971 -1.843 0.000 4.971 1.843 0.000 -1.458 0.000 4.298" Properties=species:S:1:pos:R:3 pbc="T T T"
Y 0.000 0.000 0.000
Si 1.352 0.000 2.853
Si 7.131 0.000 1.444
As 4.242 0.000 2.149
```

Record 6
For SmAs4, a structure optimized by DFT (PBE) gives the calculated powder X-ray diffraction pattern in this record (Cu Kα X-rays).
Intensities are scaled so that the largest is 100.

Main lines, most intense first (15 to 90 degrees two-theta):
2θ 32.7, intensity 100; 2θ 47.0, intensity 72; 2θ 16.2, intensity 59; 2θ 23.0, intensity 52; 2θ 78.1, intensity 32; 2θ 36.7, intensity 31; 2θ 58.4, intensity 25; 2θ 87.3, intensity 25; 2θ 28.3, intensity 24; 2θ 40.4, intensity 24

Structural model:
```
5
Lattice="5.471 0.000 0.000 0.000 5.471 0.000 0.000 0.000 5.471" Properties=species:S:1:pos:R:3 pbc="T T T"
Sm 0.000 0.000 0.000
As 0.000 0.000 2.735
As 0.000 2.735 0.000
As 2.735 0.000 0.000
As 2.735 2.735 2.735
```